Record 1
Structure and calculated PXRD pattern of NdMg2Hg2 (a DFT-relaxed cell (PBE, Alexandria); copper Kα).
Intensities are scaled so that the largest is 100.

Largest 12 diffraction maxima, sorted by position, 2θ = 10–80°:
| d/Å | I (rel.) | hkl |
| --- | --- | --- |
| 6.614 | 26 | 0 0 1 |
| 4.358 | 43 | 1 0 0 |
| 3.082 | 71 | 1 1 0 |
| 2.793 | 35 | 1 1 1 |
| 2.634 | 100 | 1 0 2 |
| 2.255 | 19 | 1 1 2 |
| 2.179 | 40 | 2 0 0 |
| 1.967 | 24 | 1 0 3 |
| 1.679 | 53 | 2 1 2 |
| 1.541 | 14 | 2 2 0 |
| 1.460 | 19 | 2 1 3 |
| 1.378 | 13 | 3 1 0 |

Atomic structure:
abc: 4.3581 4.3581 6.6140
angles: 90.00 90.00 90.00
Fractional coordinates of all 5 atoms:
Nd: 0.0000 0.0000 0.0000
Mg: 0.0000 0.5000 0.5000
Mg: 0.5000 0.0000 0.5000
Hg: 0.5000 0.5000 0.2163
Hg: 0.5000 0.5000 0.7837

***

Record 2
Structure and calculated PXRD pattern of Ba2NpTlO8 (a DFT-relaxed cell (PBE, Alexandria); copper Kα).
Intensities are scaled so that the largest is 100.

Largest 12 diffraction maxima, sorted by position, 2θ = 10–80°:
| d/Å | I (rel.) | hkl |
| --- | --- | --- |
| 3.905 | 77 | 1 1 0 |
| 3.391 | 100 | 0 1 2 |
| 3.380 | 47 | 1 -1 0 |
| 3.164 | 66 | 1 0 2 |
| 2.804 | 21 | 0 2 0 |
| 2.364 | 20 | 2 0 0 |
| 2.208 | 39 | 1 2 -2 |
| 2.129 | 16 | 0 0 4 |
| 2.025 | 22 | 2 1 2 |
| 2.004 | 26 | 1 -2 2 |
| 1.869 | 22 | 1 1 4 |
| 1.864 | 20 | 2 -1 2 |

Atomic structure:
abc: 4.7786 5.6681 8.5143
angles: 89.92 89.97 81.63
Fractional coordinates of all 12 atoms:
Ba: 0.0006 0.0005 0.2549
Ba: 0.9994 0.9995 0.7451
Np: 0.5000 0.5000 0.5000
Tl: 0.5000 0.5000 0.0000
O: 0.1339 0.6974 0.5001
O: 0.1788 0.7577 0.0003
O: 0.4209 0.2825 0.6739
O: 0.4214 0.2844 0.3252
O: 0.5786 0.7156 0.6748
O: 0.5791 0.7175 0.3261
O: 0.8212 0.2423 0.9997
O: 0.8661 0.3026 0.4999

***

Record 3
Structure and calculated PXRD pattern of Pr3Si3Ni (a DFT-relaxed cell (PBE, Alexandria); copper Kα).
Intensities are scaled so that the largest is 100.

Largest 12 diffraction maxima, sorted by position, 2θ = 10–80°:
| d/Å | I (rel.) | hkl |
| --- | --- | --- |
| 4.225 | 15 | 0 1 1 |
| 3.358 | 54 | 1 0 3 |
| 3.027 | 20 | 0 0 6 |
| 2.812 | 100 | 1 1 2 |
| 2.787 | 61 | 0 1 5 |
| 2.478 | 23 | 1 1 4 |
| 2.182 | 17 | 1 0 7 |
| 2.172 | 24 | 0 2 0 |
| 2.018 | 19 | 2 0 0 |
| 1.823 | 23 | 1 2 3 |
| 1.634 | 24 | 2 1 5 |
| 1.478 | 14 | 2 2 0 |

Atomic structure:
abc: 4.0360 4.3445 18.1604
angles: 90.00 90.00 90.00
Fractional coordinates of all 14 atoms:
Pr: 0.0000 0.0000 0.0000
Pr: 0.0000 0.0000 0.3653
Pr: 0.0000 0.5000 0.6808
Pr: 0.5000 0.0000 0.1808
Pr: 0.5000 0.5000 0.5000
Pr: 0.5000 0.5000 0.8653
Si: 0.0000 0.0000 0.5480
Si: 0.0000 0.0000 0.8195
Si: 0.0000 0.5000 0.2386
Si: 0.5000 0.0000 0.7386
Si: 0.5000 0.5000 0.0480
Si: 0.5000 0.5000 0.3195
Ni: 0.0000 0.5000 0.1138
Ni: 0.5000 0.0000 0.6138

***

Record 4
Structure and calculated PXRD pattern of K2TlBiO4 (a DFT-relaxed cell (PBE, Alexandria); copper Kα).
Intensities are scaled so that the largest is 100.

Largest 12 diffraction maxima, sorted by position, 2θ = 10–80°:
| d/Å | I (rel.) | hkl |
| --- | --- | --- |
| 4.930 | 71 | 1 1 0 |
| 4.775 | 96 | 1 1 -1 |
| 3.187 | 51 | 2 0 0 |
| 3.065 | 92 | 0 2 1 |
| 3.024 | 42 | 2 0 -2 |
| 2.898 | 24 | 1 1 1 |
| 2.777 | 100 | 2 2 -1 |
| 2.490 | 39 | 0 0 2 |
| 2.401 | 30 | 1 3 0 |
| 1.983 | 19 | 4 0 -2 |
| 1.889 | 30 | 2 2 1 |
| 1.820 | 27 | 2 2 -3 |

Atomic structure:
abc: 7.9432 7.7791 6.2062
angles: 90.00 126.65 90.00
Fractional coordinates of all 16 atoms:
K: 0.0000 0.0000 0.0000
K: 0.0000 0.2535 0.5000
K: 0.5000 0.5000 0.0000
K: 0.5000 0.7535 0.5000
Tl: 0.0000 0.7847 0.5000
Tl: 0.5000 0.2847 0.5000
Bi: 0.0000 0.5069 0.0000
Bi: 0.5000 0.0069 0.0000
O: 0.1622 0.6891 0.9199
O: 0.2356 0.9646 0.5480
O: 0.2644 0.4646 0.4520
O: 0.3378 0.1891 0.0801
O: 0.6622 0.1891 0.9199
O: 0.7356 0.4646 0.5480
O: 0.7644 0.9646 0.4520
O: 0.8378 0.6891 0.0801

***

Record 5
Structure and calculated PXRD pattern of AcSm2PaN4 (a DFT-relaxed cell (PBE, Alexandria); copper Kα).
Intensities are scaled so that the largest is 100.

Largest 12 diffraction maxima, sorted by position, 2θ = 10–80°:
| d/Å | I (rel.) | hkl |
| --- | --- | --- |
| 3.022 | 39 | 0 0 2 |
| 2.970 | 73 | 1 1 -1 |
| 2.940 | 35 | 2 0 0 |
| 2.577 | 100 | 1 1 1 |
| 1.841 | 24 | 1 1 -3 |
| 1.827 | 12 | 2 0 2 |
| 1.817 | 12 | 0 2 0 |
| 1.804 | 23 | 3 1 -1 |
| 1.568 | 12 | 1 1 3 |
| 1.553 | 12 | 3 1 -3 |
| 1.545 | 22 | 3 1 1 |
| 1.485 | 12 | 2 2 -2 |

Atomic structure:
abc: 6.2324 3.6340 6.4071
angles: 90.00 109.36 90.00
Fractional coordinates of all 8 atoms:
Ac: 0.0000 0.0000 0.0000
Sm: 0.5000 0.0000 0.5000
Sm: 0.5000 0.5000 0.0000
Pa: 0.0000 0.5000 0.5000
N: 0.2336 0.0000 0.7189
N: 0.2406 0.5000 0.2889
N: 0.7594 0.5000 0.7111
N: 0.7664 0.0000 0.2811

***

Record 6
Structure and calculated PXRD pattern of AcNd4Sc (a DFT-relaxed cell (PBE, Alexandria); copper Kα).
Intensities are scaled so that the largest is 100.

Largest 12 diffraction maxima, sorted by position, 2θ = 10–80°:
| d/Å | I (rel.) | hkl |
| --- | --- | --- |
| 4.489 | 41 | 1 0 1 |
| 3.589 | 17 | 1 1 0 |
| 3.363 | 36 | 1 1 1 |
| 3.206 | 27 | 0 0 3 |
| 2.876 | 100 | 1 1 2 |
| 2.538 | 48 | 2 0 0 |
| 1.990 | 28 | 2 0 3 |
| 1.795 | 17 | 2 2 0 |
| 1.695 | 23 | 1 1 5 |
| 1.566 | 13 | 2 2 3 |
| 1.523 | 30 | 3 1 2 |
| 1.232 | 17 | 3 1 5 |

Atomic structure:
abc: 5.0759 5.0759 9.6172
angles: 90.00 90.00 90.00
Fractional coordinates of all 6 atoms:
Ac: 0.0000 0.0000 0.0000
Nd: 0.0000 0.5000 0.3013
Nd: 0.0000 0.5000 0.6987
Nd: 0.5000 0.0000 0.3013
Nd: 0.5000 0.0000 0.6987
Sc: 0.5000 0.5000 0.5000